1.
# MnNi5Pt6
Computed powder diffraction line list, Cu Kα (weighted mean of Kα1 and Kα2). Input: a structure optimized by DFT (PBE).
No peak broadening, texture or thermal motion is included.

a = 6.078 Å, b = 6.078 Å, c = 7.356 Å
α = 90.00°, β = 90.00°, γ = 143.00°
Positions (direct):
1 Mn 0.000 0.000 0.000
2 Ni 0.000 0.000 0.500
3 Ni 0.334 0.666 0.000
4 Ni 0.336 0.664 0.500
5 Ni 0.664 0.336 0.500
6 Ni 0.666 0.334 0.000
7 Pt 0.168 0.832 0.251
8 Pt 0.168 0.832 0.749
9 Pt 0.500 0.500 0.252
10 Pt 0.500 0.500 0.748
11 Pt 0.832 0.168 0.251
12 Pt 0.832 0.168 0.749

Most intense lines, 5 to 70 degrees two-theta, by angle:
| two_theta | d/Å | I_rel |
| --- | --- | --- |
| 24.20 | 3.678 | 24.6 |
| 32.90 | 2.722 | 23.0 |
| 41.26 | 2.188 | 100.0 |
| 47.12 | 1.929 | 17.1 |
| 47.31 | 1.921 | 16.8 |
| 49.57 | 1.839 | 14.7 |

2.
# Mn4NiPt5
Computed powder diffraction line list, Cu Kα (weighted mean of Kα1 and Kα2). Input: a structure optimized by DFT (PBE).
No peak broadening, texture or thermal motion is included.

a = 2.900 Å, b = 3.531 Å, c = 14.361 Å
α = 90.00°, β = 90.00°, γ = 90.00°
Positions (direct):
1 Mn 0.000 0.000 0.103
2 Mn 0.000 0.000 0.310
3 Mn 0.000 0.000 0.690
4 Mn 0.000 0.000 0.897
5 Ni 0.000 0.000 0.500
6 Pt 0.500 0.500 0.000
7 Pt 0.500 0.500 0.204
8 Pt 0.500 0.500 0.404
9 Pt 0.500 0.500 0.596
10 Pt 0.500 0.500 0.796

Most intense lines, 5 to 70 degrees two-theta, by angle:
| two_theta | d/Å | I_rel |
| --- | --- | --- |
| 25.22 | 3.531 | 47.4 |
| 30.84 | 2.900 | 28.9 |
| 40.25 | 2.241 | 100.0 |
| 40.49 | 2.228 | 96.2 |
| 44.39 | 2.041 | 74.0 |
| 51.76 | 1.766 | 53.2 |

3.
# MnNiPt3
Computed powder diffraction line list, Cu Kα (weighted mean of Kα1 and Kα2). Input: a structure optimized by DFT (PBE).
No peak broadening, texture or thermal motion is included.

a = 9.686 Å, b = 9.686 Å, c = 3.887 Å
α = 90.00°, β = 90.00°, γ = 156.78°
Positions (direct):
1 Mn 0.152 0.848 0.750
2 Mn 0.848 0.152 0.250
3 Ni 0.349 0.651 0.750
4 Ni 0.651 0.349 0.250
5 Pt 0.057 0.943 0.250
6 Pt 0.250 0.750 0.250
7 Pt 0.445 0.555 0.250
8 Pt 0.555 0.445 0.750
9 Pt 0.750 0.250 0.750
10 Pt 0.943 0.057 0.750

Most intense lines, 5 to 70 degrees two-theta, by angle:
| two_theta | d/Å | I_rel |
| --- | --- | --- |
| 32.88 | 2.724 | 18.3 |
| 40.49 | 2.228 | 100.0 |
| 46.60 | 1.949 | 17.0 |
| 46.74 | 1.943 | 16.9 |
| 47.94 | 1.898 | 14.6 |
| 68.14 | 1.376 | 10.9 |

4.
# PuMnNi
Computed powder diffraction line list, Cu Kα (weighted mean of Kα1 and Kα2). Input: a structure optimized by DFT (PBE).
No peak broadening, texture or thermal motion is included.

a = 5.095 Å, b = 5.095 Å, c = 5.095 Å
α = 120.81°, β = 116.77°, γ = 92.14°
Positions (direct):
1 Pu 0.373 0.123 0.250
2 Pu 0.627 0.877 0.750
3 Mn 0.000 0.500 0.500
4 Mn 0.500 0.500 0.000
5 Ni 0.000 0.000 0.500
6 Ni 0.000 0.500 0.000

Most intense lines, 5 to 70 degrees two-theta, by angle:
| two_theta | d/Å | I_rel |
| --- | --- | --- |
| 21.68 | 4.100 | 36.1 |
| 35.29 | 2.544 | 100.0 |
| 40.30 | 2.238 | 63.4 |
| 41.68 | 2.167 | 60.7 |
| 41.90 | 2.156 | 31.9 |
| 42.37 | 2.133 | 33.0 |

Q: Number 4 is which compound?
A: PuMnNi